This entry pairs a crystal structure of Na6Ni2AsC4O16 with its calculated X-ray diffraction stick pattern. Radiation: Cu Kα, 1.54184 Å. Structure: the PBE+U geometry in Alexandria.
Peak positions follow from Bragg's law for the DFT cell and can differ from measured ones.

```
data_Na6Ni2AsC4O16
_symmetry_space_group_name_H-M 'P 1'
_symmetry_Int_Tables_number 1
_symmetry_space_group_name_Hall 'P 1'
_cell_length_a 9.944
_cell_length_b 9.944
_cell_length_c 9.944
_cell_angle_alpha 60.00
_cell_angle_beta 60.00
_cell_angle_gamma 60.00
loop_
_atom_site_label
_atom_site_fract_x
_atom_site_fract_y
_atom_site_fract_z
Na1 0.091 0.091 0.659
Na2 0.091 0.659 0.091
Na3 0.091 0.659 0.659
Na4 0.341 0.341 0.909
Na5 0.341 0.909 0.341
Na6 0.341 0.909 0.909
Na7 0.659 0.091 0.091
Na8 0.659 0.091 0.659
Na9 0.659 0.659 0.091
Na10 0.909 0.341 0.341
Na11 0.909 0.341 0.909
Na12 0.909 0.909 0.341
Ni1 0.000 0.500 0.500
Ni2 0.500 0.000 0.500
Ni3 0.500 0.500 0.000
Ni4 0.500 0.500 0.500
As1 0.125 0.125 0.125
As2 0.875 0.875 0.875
C1 0.284 0.284 0.284
C2 0.284 0.284 0.647
C3 0.284 0.647 0.284
C4 0.353 0.716 0.716
C5 0.647 0.284 0.284
C6 0.716 0.353 0.716
C7 0.716 0.716 0.353
C8 0.716 0.716 0.716
O1 0.054 0.054 0.054
O2 0.054 0.054 0.337
O3 0.054 0.337 0.054
O4 0.142 0.309 0.400
O5 0.142 0.400 0.649
O6 0.142 0.649 0.309
O7 0.309 0.142 0.649
O8 0.309 0.400 0.142
O9 0.309 0.649 0.400
O10 0.337 0.054 0.054
O11 0.351 0.600 0.691
O12 0.351 0.691 0.858
O13 0.351 0.858 0.600
O14 0.400 0.142 0.309
O15 0.400 0.309 0.649
O16 0.400 0.649 0.142
O17 0.600 0.351 0.858
O18 0.600 0.691 0.351
O19 0.600 0.858 0.691
O20 0.649 0.142 0.400
O21 0.649 0.309 0.142
O22 0.649 0.400 0.309
O23 0.663 0.946 0.946
O24 0.691 0.351 0.600
O25 0.691 0.600 0.858
O26 0.691 0.858 0.351
O27 0.858 0.351 0.691
O28 0.858 0.600 0.351
O29 0.858 0.691 0.600
O30 0.946 0.663 0.946
O31 0.946 0.946 0.663
O32 0.946 0.946 0.946
```

Top 12 peaks for 2θ from 15° to 90°, low angle first:
Position (°2θ)	I/Imax
17.8	23
21.0	100
33.1	85
36.1	73
42.6	16
49.8	17
52.0	14
56.7	35
57.1	14
63.1	15
65.0	17
69.1	16